FeBiO3: simulated powder diffractogram (a wavelength of 1.5418 Å), based on a DFT-relaxed cell (GGA+U, the Materials Project).
Lines closer than 0.1° are merged.

Atomic structure:
```
10
Lattice="2.781 1.606 4.595 -2.781 1.606 4.595 0.000 -3.211 4.595" Properties=species:S:1:pos:R:3 pbc="T T T"
Fe 0.000 0.000 0.000
Fe 0.000 0.000 6.813
Bi 0.000 0.000 3.044
Bi 0.000 0.000 9.899
O -1.667 0.529 5.859
O -1.147 -1.117 8.182
O 0.376 -1.708 5.859
O -0.394 1.552 8.182
O 1.291 1.180 5.859
O 1.541 -0.435 8.182
```

The 10 most intense peaks (10° ≤ 2θ ≤ 90°), by intensity:
2θ/deg  d_spacing  intensity
32.2  2.781  100.0
31.9  2.803  99.5
22.5  3.948  78.3
46.0  1.974  48.1
57.2  1.610  41.7
51.6  1.771  32.0
39.6  2.274  31.7
57.4  1.606  23.6
51.9  1.760  19.0
56.7  1.622  17.6

=====

Li3V2P4H2O16: simulated powder diffractogram (a wavelength of 1.5418 Å), based on a DFT-relaxed cell (GGA+U, the Materials Project).
Lines closer than 0.1° are merged.

Atomic structure:
```
54
Lattice="7.884 0.000 0.000 0.000 8.078 0.000 -3.662 0.000 9.036" Properties=species:S:1:pos:R:3 pbc="T T T"
Li -0.082 0.000 2.010
Li 0.315 2.139 6.986
Li 2.217 2.143 2.434
Li 2.006 6.182 6.602
Li 3.907 6.178 2.050
Li 4.304 4.039 7.026
V 0.962 5.085 2.249
V -0.799 5.146 6.752
V 5.021 1.106 2.284
V 3.260 1.045 6.787
P -1.941 2.279 5.141
P -0.084 2.302 0.608
P 2.235 7.882 3.928
P 0.451 7.929 8.423
P 3.772 3.890 0.613
P 1.987 3.842 5.108
P 4.307 6.341 8.428
P 6.163 6.318 3.895
H 0.206 0.986 4.468
H -1.504 0.994 8.909
H 5.726 5.033 0.128
H 4.016 5.025 4.569
O -1.931 3.623 5.889
O 0.046 3.721 1.210
O -2.452 5.524 7.762
O -0.516 5.490 3.226
O 0.430 6.498 0.914
O -1.333 6.461 5.371
O 1.213 1.516 0.862
O -0.610 1.561 5.356
O 0.883 0.565 3.692
O -0.839 0.691 8.158
O 1.674 3.675 3.597
O -0.170 3.727 8.141
O 2.640 4.748 1.285
O 0.916 4.724 5.777
O 2.134 6.526 3.196
O 0.361 6.585 7.706
O 3.861 2.546 1.331
O 2.088 2.487 5.840
O 3.306 0.685 3.259
O 1.583 0.709 7.751
O 2.548 7.714 5.439
O 4.393 7.766 0.895
O 5.061 4.730 0.878
O 3.339 4.604 5.344
O 3.009 5.556 8.175
O 4.833 5.600 3.681
O 5.555 2.422 3.665
O 3.792 2.459 8.122
O 4.738 1.450 5.810
O 6.674 1.484 1.274
O 4.177 7.760 7.827
O 6.154 7.663 3.147
```

The 10 most intense peaks (10° ≤ 2θ ≤ 90°), by intensity:
2θ/deg  d_spacing  intensity
29.1  3.072  100.0
24.9  3.571  72.7
16.4  5.419  52.2
25.2  3.535  49.1
33.1  2.709  43.0
22.5  3.943  42.7
51.7  1.769  27.7
29.7  3.011  19.7
38.7  2.328  18.3
43.2  2.093  14.9

=====

V4Ni2O9: simulated powder diffractogram (a wavelength of 1.5418 Å), based on a DFT-relaxed cell (GGA+U, the Materials Project).
Lines closer than 0.1° are merged.

Atomic structure:
```
30
Lattice="4.865 -2.544 0.000 4.865 2.544 0.000 -0.937 0.000 12.571" Properties=species:S:1:pos:R:3 pbc="T T T"
V 4.397 2.536 6.286
V 0.440 0.010 2.941
V -0.028 -0.010 9.227
V 3.494 0.022 4.969
V 3.026 -0.022 11.255
V 7.058 0.008 0.868
V 6.589 -0.008 7.153
V 4.865 -2.536 0.000
Ni 2.653 0.011 8.370
Ni 3.121 -0.011 2.085
Ni 6.191 0.018 4.198
Ni 5.723 -0.018 10.483
O 3.877 1.857 1.687
O 2.178 0.712 3.924
O 3.039 0.986 6.633
O 4.784 1.558 4.616
O 5.710 1.676 7.542
O 3.973 0.840 9.708
O 1.710 -0.712 10.210
O 4.783 0.710 12.293
O 6.576 0.985 2.441
O 3.507 -0.986 0.348
O 4.442 -0.840 3.422
O 7.550 0.849 5.474
O 5.252 -0.710 6.008
O 3.409 -1.857 7.973
O 4.315 -1.558 10.902
O 6.108 -0.985 8.726
O 6.178 -1.676 1.256
O 7.081 -0.849 11.760
```

The 10 most intense peaks (10° ≤ 2θ ≤ 90°), by intensity:
2θ/deg  d_spacing  intensity
32.8  2.730  100.0
35.4  2.537  54.2
53.4  1.715  47.8
23.9  3.719  46.5
35.3  2.544  27.5
48.9  1.862  26.3
63.4  1.467  24.8
53.6  1.711  23.1
61.8  1.501  21.5
40.5  2.230  16.0